Record 1
The following is a calculated powder X-ray diffraction pattern of Ba2TcHgO6. It was derived from a cell relaxed with PBE, using Cu Kα X-rays.
Lines closer than 0.1° are merged.

Atomic structure:
Cell lengths 10.484, 10.484, 10.484 Å; angles 34.17, 34.17, 34.17 degrees
Element x y z (fractional)
Ba (0.130, 0.130, 0.130)
Ba (0.272, 0.272, 0.272)
Ba (0.728, 0.728, 0.728)
Ba (0.870, 0.870, 0.870)
Tc (0.000, 0.000, 0.000)
Tc (0.500, 0.500, 0.500)
Hg (0.399, 0.399, 0.399)
Hg (0.601, 0.601, 0.601)
O (0.154, 0.617, 0.617)
O (0.181, 0.181, 0.757)
O (0.181, 0.757, 0.181)
O (0.243, 0.819, 0.819)
O (0.383, 0.383, 0.846)
O (0.383, 0.846, 0.383)
O (0.617, 0.154, 0.617)
O (0.617, 0.617, 0.154)
O (0.757, 0.181, 0.181)
O (0.819, 0.243, 0.819)
O (0.819, 0.819, 0.243)
O (0.846, 0.383, 0.383)

Top 10 peaks for 2θ = 10–90°, sorted by position:
| 2θ (°) | d/Å | I_rel |
| --- | --- | --- |
| 26.91 | 3.313 | 26 |
| 28.99 | 3.080 | 100 |
| 29.38 | 3.040 | 41 |
| 39.97 | 2.256 | 18 |
| 40.12 | 2.248 | 16 |
| 41.75 | 2.164 | 19 |
| 51.38 | 1.778 | 20 |
| 51.63 | 1.770 | 19 |
| 55.30 | 1.661 | 22 |
| 60.08 | 1.540 | 18 |

***

Record 2
The following is a calculated powder X-ray diffraction pattern of Li4Ca2Pd5. It was derived from a cell relaxed with PBE, using Cu Kα X-rays.
Lines closer than 0.1° are merged.

Atomic structure:
Cell lengths 8.792, 7.995, 5.466 Å; angles 79.12, 63.25, 37.63 degrees
Element x y z (fractional)
Li (0.025, 0.712, 0.288)
Li (0.288, 0.975, 0.025)
Li (0.712, 0.025, 0.975)
Li (0.975, 0.288, 0.712)
Ca (0.374, 0.374, 0.626)
Ca (0.626, 0.626, 0.374)
Pd (0.000, 0.000, 0.000)
Pd (0.000, 0.000, 0.500)
Pd (0.250, 0.250, 0.250)
Pd (0.500, 0.500, 0.000)
Pd (0.750, 0.750, 0.750)

Top 10 peaks for 2θ = 10–90°, sorted by position:
| 2θ (°) | d/Å | I_rel |
| --- | --- | --- |
| 19.09 | 4.650 | 51 |
| 23.85 | 3.731 | 78 |
| 25.55 | 3.486 | 36 |
| 30.72 | 2.910 | 69 |
| 36.78 | 2.443 | 100 |
| 38.72 | 2.325 | 48 |
| 39.61 | 2.276 | 39 |
| 44.32 | 2.044 | 67 |
| 45.99 | 1.974 | 31 |
| 62.66 | 1.483 | 40 |

***

Record 3
The following is a calculated powder X-ray diffraction pattern of BaHg17Pb. It was derived from a cell relaxed with PBE, using Cu Kα X-rays.
Lines closer than 0.1° are merged.

Atomic structure:
Cell lengths 8.716, 8.716, 8.716 Å; angles 68.68, 68.68, 68.68 degrees
Element x y z (fractional)
Ba (0.000, 0.000, 0.000)
Hg (0.076, 0.713, 0.713)
Hg (0.188, 0.188, 0.188)
Hg (0.286, 0.587, 0.972)
Hg (0.286, 0.972, 0.587)
Hg (0.303, 0.303, 0.756)
Hg (0.303, 0.756, 0.303)
Hg (0.363, 0.363, 0.363)
Hg (0.444, 0.886, 0.886)
Hg (0.587, 0.286, 0.972)
Hg (0.587, 0.972, 0.286)
Hg (0.713, 0.076, 0.713)
Hg (0.713, 0.713, 0.076)
Hg (0.756, 0.303, 0.303)
Hg (0.886, 0.444, 0.886)
Hg (0.886, 0.886, 0.444)
Hg (0.972, 0.286, 0.587)
Hg (0.972, 0.587, 0.286)
Pb (0.564, 0.564, 0.564)

Top 10 peaks for 2θ = 10–90°, sorted by position:
| 2θ (°) | d/Å | I_rel |
| --- | --- | --- |
| 29.17 | 3.062 | 38 |
| 30.80 | 2.903 | 89 |
| 31.51 | 2.839 | 24 |
| 32.63 | 2.744 | 47 |
| 34.38 | 2.609 | 100 |
| 36.55 | 2.458 | 21 |
| 39.09 | 2.304 | 34 |
| 56.10 | 1.639 | 20 |
| 56.83 | 1.620 | 19 |
| 65.34 | 1.428 | 15 |